1.
For SrTl12, a DFT-relaxed cell (GGA-PBE, Alexandria) gives the calculated powder diffractogram in this record (Cu Kα, 1.54184 Å).
Neutral-atom scattering factors, no anomalous dispersion.

Unit cell a=9.203 b=9.203 c=9.203 alpha=60.00 beta=60.00 gamma=60.00
Fractional positions:
Sr 0.000 0.000 0.000
Tl 0.160 0.500 0.500
Tl 0.160 0.500 0.840
Tl 0.160 0.840 0.500
Tl 0.500 0.160 0.500
Tl 0.500 0.160 0.840
Tl 0.500 0.500 0.160
Tl 0.500 0.500 0.840
Tl 0.500 0.840 0.160
Tl 0.500 0.840 0.500
Tl 0.840 0.160 0.500
Tl 0.840 0.500 0.160
Tl 0.840 0.500 0.500

Main lines, most intense first (2θ from 10° to 90°):
35.9°, intensity 100
22.7°, intensity 70
41.6°, intensity 61
11.8°, intensity 48
60.3°, intensity 41
72.2°, intensity 36
41.0°, intensity 34
19.3°, intensity 33
23.7°, intensity 28
33.7°, intensity 27

***

2.
For Pm6In6Sn, a DFT-relaxed cell (GGA-PBE, Alexandria) gives the calculated powder diffractogram in this record (Cu Kα, 1.54184 Å).
Neutral-atom scattering factors, no anomalous dispersion.

Unit cell a=6.477 b=6.477 c=10.766 alpha=90.00 beta=90.00 gamma=120.00
Fractional positions:
Pm 0.000 0.000 0.203
Pm 0.000 0.000 0.797
Pm 0.333 0.667 0.000
Pm 0.333 0.667 0.500
Pm 0.667 0.333 0.000
Pm 0.667 0.333 0.500
In 0.000 0.500 0.247
In 0.000 0.500 0.753
In 0.500 0.000 0.247
In 0.500 0.000 0.753
In 0.500 0.500 0.247
In 0.500 0.500 0.753
Sn 0.000 0.000 0.500

Main lines, most intense first (2θ from 10° to 90°):
36.1°, intensity 100
32.3°, intensity 53
27.5°, intensity 48
33.3°, intensity 38
31.9°, intensity 38
56.9°, intensity 31
67.5°, intensity 29
58.8°, intensity 20
43.7°, intensity 16
29.6°, intensity 16

***

3.
For RbAcP2S8, a DFT-relaxed cell (GGA-PBE, Alexandria) gives the calculated powder diffractogram in this record (Cu Kα, 1.54184 Å).
Neutral-atom scattering factors, no anomalous dispersion.

Unit cell a=6.291 b=6.291 c=10.019 alpha=90.00 beta=90.00 gamma=120.00
Fractional positions:
Rb 0.000 0.000 0.000
Ac 0.000 0.000 0.500
P 0.333 0.667 0.738
P 0.667 0.333 0.262
S 0.003 0.613 0.320
S 0.333 0.667 0.941
S 0.387 0.390 0.320
S 0.390 0.003 0.680
S 0.610 0.997 0.320
S 0.613 0.610 0.680
S 0.667 0.333 0.059
S 0.997 0.387 0.680

Main lines, most intense first (2θ from 10° to 90°):
24.1°, intensity 100
33.6°, intensity 52
18.5°, intensity 45
16.3°, intensity 42
28.4°, intensity 35
47.8°, intensity 30
46.3°, intensity 26
32.9°, intensity 22
39.6°, intensity 20
37.6°, intensity 19

***

What did the third record say?
For RbAcP2S8, a DFT-relaxed cell (GGA-PBE, Alexandria) gives the calculated powder diffractogram in this record (Cu Kα, 1.54184 Å).
Neutral-atom scattering factors, no anomalous dispersion.

Unit cell a=6.291 b=6.291 c=10.019 alpha=90.00 beta=90.00 gamma=120.00
Fractional positions:
Rb 0.000 0.000 0.000
Ac 0.000 0.000 0.500
P 0.333 0.667 0.738
P 0.667 0.333 0.262
S 0.003 0.613 0.320
S 0.333 0.667 0.941
S 0.387 0.390 0.320
S 0.390 0.003 0.680
S 0.610 0.997 0.320
S 0.613 0.610 0.680
S 0.667 0.333 0.059
S 0.997 0.387 0.680

Main lines, most intense first (2θ from 10° to 90°):
24.1°, intensity 100
33.6°, intensity 52
18.5°, intensity 45
16.3°, intensity 42
28.4°, intensity 35
47.8°, intensity 30
46.3°, intensity 26
32.9°, intensity 22
39.6°, intensity 20
37.6°, intensity 19